For LiMgAlH6, the GGA-PBE geometry in Alexandria gives the theoretical powder X-ray diffraction pattern in this record (Cu Kα (weighted mean of Kα1 and Kα2)).
Lines closer than 0.1° are merged.

```
data_LiMgAlH6
_symmetry_space_group_name_H-M 'P 3 2 1'
_symmetry_Int_Tables_number 150
_symmetry_space_group_name_Hall 'P 3 2"'
_cell_length_a 7.9366
_cell_length_b 7.9366
_cell_length_c 4.3296
_cell_angle_alpha 90.00
_cell_angle_beta 90.00
_cell_angle_gamma 120.00
loop_
_atom_site_label
_atom_site_type_symbol
_atom_site_fract_x
_atom_site_fract_y
_atom_site_fract_z
_atom_site_occupancy
Li1 Li 0.0000 0.7039 0.0000 1
Mg1 Mg 0.0000 0.3633 0.5000 1
Al1 Al 0.0000 0.0000 0.5000 1
Al2 Al 0.3333 0.6667 0.9985 1
H1 H 0.0945 0.2098 0.7219 1
H2 H 0.1258 0.5821 0.7707 1
H3 H 0.2233 0.4585 0.2248 1
```

Largest 12 diffraction maxima, in order of falling intensity, 10 to 90 degrees two-theta:
hkl, Position (°2θ), I_rel
1 1 1, 30.56, 100
3 0 0, 39.33, 61
1 1 0, 22.40, 52
2 0 1, 33.29, 49
3 0 2, 58.67, 46
0 1 1, 24.30, 43
1 2 1, 40.49, 33
2 3 1, 62.71, 20
2 2 1, 50.60, 19
0 0 2, 41.72, 17
4 1 1, 65.91, 14
1 1 2, 47.86, 12